For Rb2Mo4O13, a cell relaxed with PBE+U gives the calculated powder diffractogram in this record (Cu Kα (λ = 1.5418 Å)).
Lines closer than 0.1° are merged.

Main lines, in order of falling intensity (10 to 90 degrees two-theta):
d/Å  Rel. int.
3.733  100
3.535  87
7.311  84
3.056  60
2.104  52
7.470  51
3.225  48
3.002  46
3.193  45
3.346  33

Atomic structure:
a = 8.504 Å, b = 8.622 Å, c = 10.521 Å
α = 107.26°, β = 104.02°, γ = 108.81°
Positions (direct):
1 Rb 0.176 0.227 0.300
2 Rb 0.236 0.781 0.430
3 Rb 0.764 0.219 0.570
4 Rb 0.824 0.773 0.700
5 Mo 0.281 0.211 0.713
6 Mo 0.287 0.610 0.734
7 Mo 0.321 0.509 0.047
8 Mo 0.339 0.908 0.060
9 Mo 0.661 0.092 0.940
10 Mo 0.679 0.491 0.953
11 Mo 0.713 0.390 0.266
12 Mo 0.719 0.789 0.287
13 O 0.106 0.650 0.660
14 O 0.109 0.999 0.650
15 O 0.155 0.355 0.665
16 O 0.168 0.944 0.966
17 O 0.193 0.292 0.906
18 O 0.222 0.512 0.173
19 O 0.225 0.640 0.943
20 O 0.312 0.943 0.224
21 O 0.370 0.192 0.578
22 O 0.405 0.624 0.620
23 O 0.452 0.865 0.885
24 O 0.466 0.516 0.867
25 O 0.476 0.218 0.857
26 O 0.524 0.782 0.143
27 O 0.534 0.484 0.133
28 O 0.548 0.135 0.115
29 O 0.595 0.376 0.380
30 O 0.630 0.808 0.422
31 O 0.688 0.057 0.776
32 O 0.775 0.360 0.057
33 O 0.778 0.488 0.827
34 O 0.807 0.708 0.094
35 O 0.832 0.056 0.034
36 O 0.845 0.645 0.335
37 O 0.891 0.001 0.350
38 O 0.894 0.350 0.340